For Te3Pd5, a crystal structure in Alexandria, relaxed with GGA-PBE gives the calculated powder XRD pattern in this record (Cu Kα).

Largest 12 diffraction maxima, low angle first, 2θ = 5–70°:
| 2θ (°) | I (rel.) |
| --- | --- |
| 12.85 | 198 |
| 21.06 | 423 |
| 24.74 | 192 |
| 25.86 | 110 |
| 29.95 | 326 |
| 36.90 | 198 |
| 39.23 | 72 |
| 42.87 | 1000 |
| 48.23 | 91 |
| 53.18 | 85 |
| 57.82 | 106 |
| 62.24 | 162 |

Structural model:
a = 8.438 Å, b = 8.438 Å, c = 8.438 Å
α = 60.00°, β = 60.00°, γ = 60.00°
Positions (direct):
Te (0.000, 0.000, 0.000)
Te (0.000, 0.000, 0.500)
Te (0.000, 0.500, 0.000)
Te (0.375, 0.375, 0.375)
Te (0.500, 0.000, 0.000)
Te (0.625, 0.625, 0.625)
Pd (0.125, 0.125, 0.125)
Pd (0.251, 0.251, 0.251)
Pd (0.251, 0.251, 0.748)
Pd (0.251, 0.748, 0.251)
Pd (0.252, 0.749, 0.749)
Pd (0.748, 0.251, 0.251)
Pd (0.749, 0.252, 0.749)
Pd (0.749, 0.749, 0.252)
Pd (0.749, 0.749, 0.749)
Pd (0.875, 0.875, 0.875)